The following is a computed powder XRD pattern of CaUMo4O16. It was derived from the PBE+U geometry in Alexandria, using copper Kα.
Neutral-atom scattering factors, no anomalous dispersion.

Cell and atoms:
abc: 8.352 6.747 14.297
angles: 90.00 125.40 90.00
Fractional positions:
Ca 0.000 0.199 0.250
Ca 0.000 0.801 0.750
U 0.500 0.198 0.250
U 0.500 0.802 0.750
Mo 0.198 0.331 0.904
Mo 0.198 0.669 0.404
Mo 0.299 0.333 0.593
Mo 0.299 0.667 0.093
Mo 0.701 0.333 0.907
Mo 0.701 0.667 0.407
Mo 0.802 0.331 0.596
Mo 0.802 0.669 0.096
O 0.000 0.435 0.750
O 0.000 0.565 0.250
O 0.095 0.345 0.598
O 0.095 0.655 0.098
O 0.135 0.081 0.876
O 0.135 0.919 0.376
O 0.186 0.351 0.437
O 0.186 0.649 0.937
O 0.282 0.198 0.252
O 0.282 0.802 0.752
O 0.316 0.349 0.068
O 0.316 0.651 0.568
O 0.373 0.078 0.629
O 0.373 0.922 0.129
O 0.406 0.347 0.903
O 0.406 0.653 0.403
O 0.500 0.443 0.750
O 0.500 0.557 0.250
O 0.594 0.347 0.597
O 0.594 0.653 0.097
O 0.627 0.078 0.871
O 0.627 0.922 0.371
O 0.684 0.349 0.432
O 0.684 0.651 0.932
O 0.718 0.198 0.248
O 0.718 0.802 0.748
O 0.814 0.351 0.063
O 0.814 0.649 0.563
O 0.865 0.081 0.624
O 0.865 0.919 0.124
O 0.905 0.345 0.902
O 0.905 0.655 0.402

Peak list (10 most intense, 2θ = 10–90°, most intense first)
26.5°, rel. 100, (0 1 3)
21.3°, rel. 98, (2 0 -2)
13.0°, rel. 43, (1 0 0)
34.1°, rel. 38, (2 1 1)
26.4°, rel. 35, (0 2 0)
27.5°, rel. 30, (0 2 1)
22.8°, rel. 24, (1 1 -3)
16.9°, rel. 23, (1 1 -1)
34.3°, rel. 18, (2 1 -5)
35.1°, rel. 17, (2 2 -3)